Record 1
For Hf3InSe5, a PBE-relaxed structure gives the calculated powder XRD pattern in this record (copper Kα).

Structural model:
Cell: 6.1308 6.1308 7.4274 Å, 90.00 90.00 120.00°
Atoms (fractional coordinates):
Hf  0.0000  0.5000  0.0000
Hf  0.5000  0.0000  0.0000
Hf  0.5000  0.5000  0.0000
In  0.0000  0.0000  0.5000
Se  0.0000  0.0000  0.0000
Se  0.3333  0.6667  0.2697
Se  0.3333  0.6667  0.7303
Se  0.6667  0.3333  0.2697
Se  0.6667  0.3333  0.7303

Top 10 peaks for 2θ from 10° to 80°, most intense first:
d (Å)  Rel. int.
2.160  100.0
7.427  91.8
2.500  51.4
2.655  37.3
4.319  29.8
1.533  23.6
3.065  20.3
2.834  17.8
1.250  17.1
3.714  15.8

***

Record 2
For Sm4Hf3In2, a PBE-relaxed structure gives the calculated powder XRD pattern in this record (copper Kα).

Structural model:
Cell: 9.0166 9.0166 3.4044 Å, 90.00 90.00 120.00°
Atoms (fractional coordinates):
Sm  0.0000  0.0000  0.0000
Sm  0.3615  0.0417  0.0000
Sm  0.6802  0.6385  0.0000
Sm  0.9583  0.3198  0.0000
Hf  0.0443  0.6814  0.5000
Hf  0.3186  0.3629  0.5000
Hf  0.6371  0.9557  0.5000
In  0.3333  0.6667  0.0000
In  0.6667  0.3333  0.5000

Top 10 peaks for 2θ from 10° to 80°, most intense first:
d (Å)  Rel. int.
2.717  100.0
2.603  95.2
1.425  29.4
2.566  27.9
1.879  23.4
1.585  22.7
2.951  22.1
2.230  18.7
1.524  17.1
1.475  12.0

***

Record 3
For Hf2InSn2, a PBE-relaxed structure gives the calculated powder XRD pattern in this record (copper Kα).

Structural model:
Cell: 7.8427 7.8427 7.8427 Å, 149.74 149.74 43.32°
Atoms (fractional coordinates):
Hf  0.0987  0.0987  0.0000
Hf  0.9013  0.9013  0.0000
In  0.5000  0.5000  0.0000
Sn  0.2500  0.7500  0.5000
Sn  0.7500  0.2500  0.5000

Top 10 peaks for 2θ from 10° to 80°, most intense first:
d (Å)  Rel. int.
2.690  100.0
2.375  68.7
2.047  51.6
2.267  45.1
1.550  36.6
3.941  33.3
3.131  31.6
1.302  24.1
1.275  20.2
1.447  17.1

***

Record 4
For Hf3Zn2In2, a PBE-relaxed structure gives the calculated powder XRD pattern in this record (copper Kα).

Structural model:
Cell: 8.2904 8.2904 8.2904 Å, 33.22 33.22 33.22°
Atoms (fractional coordinates):
Hf  0.0000  0.0000  0.0000
Hf  0.2499  0.2499  0.2499
Hf  0.7462  0.7462  0.7462
Zn  0.3791  0.3791  0.3791
Zn  0.8682  0.8682  0.8682
In  0.1292  0.1292  0.1292
In  0.6142  0.6142  0.6142

Top 10 peaks for 2θ from 10° to 80°, most intense first:
d (Å)  Rel. int.
2.370  100.0
2.387  96.7
1.371  33.0
1.682  32.9
1.368  17.3
7.826  17.1
3.874  17.0
1.382  14.4
2.597  13.1
4.043  12.7

***

Record 5
For LaHfZrIr2, a PBE-relaxed structure gives the calculated powder XRD pattern in this record (copper Kα).

Structural model:
Cell: 6.6625 6.6625 6.6625 Å, 140.32 140.32 57.37°
Atoms (fractional coordinates):
La  0.0000  0.0000  0.0000
Hf  0.3615  0.3615  0.0000
Zr  0.6310  0.6310  0.0000
Ir  0.2490  0.7490  0.5000
Ir  0.7490  0.2490  0.5000

Top 10 peaks for 2θ from 10° to 80°, most intense first:
d (Å)  Rel. int.
2.806  100.0
2.261  71.4
2.952  64.2
2.157  51.2
5.845  50.8
1.664  35.3
1.795  30.2
1.599  24.4
1.389  23.7
1.285  19.6

***

Record 6
For Lu2HfIr, a PBE-relaxed structure gives the calculated powder XRD pattern in this record (copper Kα).

Structural model:
Cell: 4.9063 4.9063 4.9063 Å, 60.00 60.00 60.00°
Atoms (fractional coordinates):
Lu  0.0000  0.0000  0.0000
Lu  0.2500  0.2500  0.2500
Hf  0.5000  0.5000  0.5000
Ir  0.7500  0.7500  0.7500

Top 4 peaks for 2θ from 10° to 80°, most intense first:
d (Å)  Rel. int.
2.453  100.0
1.416  36.5
1.735  17.8
1.227  11.5

***

Record 7
For HfSi4Ir3, a PBE-relaxed structure gives the calculated powder XRD pattern in this record (copper Kα).

Structural model:
Cell: 8.1789 8.1789 4.2969 Å, 90.00 90.00 120.00°
Atoms (fractional coordinates):
Hf  0.3333  0.6667  0.2500
Hf  0.6667  0.3333  0.7500
Si  0.0000  0.0000  0.0000
Si  0.0000  0.0000  0.5000
Si  0.0398  0.6128  0.7500
Si  0.3872  0.4270  0.7500
Si  0.4270  0.0398  0.2500
Si  0.5730  0.9602  0.7500
Si  0.6128  0.5730  0.2500
Si  0.9602  0.3872  0.2500
Ir  0.0717  0.3396  0.7500
Ir  0.2679  0.9283  0.7500
Ir  0.3396  0.2679  0.2500
Ir  0.6604  0.7321  0.7500
Ir  0.7321  0.0717  0.2500
Ir  0.9283  0.6604  0.2500

Top 10 peaks for 2θ from 10° to 80°, most intense first:
d (Å)  Rel. int.
2.733  100.0
2.962  74.7
2.361  48.4
1.520  31.2
2.148  28.3
1.965  26.2
2.272  25.9
1.345  24.1
1.787  23.2
1.589  23.0

***

Record 8
For KHf2, a PBE-relaxed structure gives the calculated powder XRD pattern in this record (copper Kα).

Structural model:
Cell: 6.8068 6.8068 9.4511 Å, 108.16 108.16 27.54°
Atoms (fractional coordinates):
K  0.1591  0.1591  0.1231
K  0.8409  0.8409  0.8769
Hf  0.1531  0.1531  0.5196
Hf  0.4720  0.4720  0.3302
Hf  0.5280  0.5280  0.6698
Hf  0.8469  0.8469  0.4804

Top 10 peaks for 2θ from 10° to 80°, most intense first:
d (Å)  Rel. int.
2.559  100.0
2.600  66.6
3.189  52.6
2.254  51.4
2.671  47.0
2.620  37.2
2.181  32.6
3.109  27.0
2.080  26.5
6.261  25.0